Starting from a cell relaxed with PBE+U, the X-ray powder pattern of UAgWO6 was computed for Cu Kα.
Peak positions follow from Bragg's law for the DFT cell and can differ from measured ones.

Main lines, by intensity (10 to 90 degrees two-theta):
h k l, d/Å, 2θ (°), I_rel
1 0 2, 3.481, 25.59, 100
1 1 0, 2.798, 31.98, 62
1 1 4, 1.865, 48.84, 53
0 0 2, 5.002, 17.73, 39
1 1 2, 2.442, 36.80, 33
2 1 2, 1.720, 53.25, 26
2 0 2, 2.181, 41.40, 26
3 0 0, 1.616, 57.00, 18
3 0 4, 1.357, 69.23, 14
4 -2 4, 1.221, 78.30, 13

Structure:
```
UAgWO6
1.0
5.597 0.000 0.000
-2.798 4.847 0.000
0.000 0.000 10.003
U Ag W O
2 2 2 12
direct
0.333 0.667 0.250
0.667 0.333 0.750
0.000 0.000 0.000
0.000 0.000 0.500
0.333 0.667 0.750
0.667 0.333 0.250
0.027 0.387 0.643
0.027 0.640 0.857
0.360 0.387 0.857
0.360 0.973 0.643
0.387 0.027 0.143
0.387 0.360 0.357
0.613 0.640 0.643
0.613 0.973 0.857
0.640 0.027 0.357
0.640 0.613 0.143
0.973 0.360 0.143
0.973 0.613 0.357
```